Structure and simulated PXRD pattern of DyY3Rh2 (a crystal structure in Alexandria, relaxed with GGA-PBE; Cu Kα, 1.54184 Å).
No peak broadening, texture or thermal motion is included.

Cell and atoms:
Lattice parameters (Å, degrees): 8.372 8.372 8.372 132.71 71.50 129.72
Fractional coordinates of all 12 atoms:
Dy: 0.000 0.000 0.000
Dy: 0.500 0.500 0.000
Y: 0.018 0.250 0.768
Y: 0.250 0.750 0.500
Y: 0.482 0.250 0.232
Y: 0.518 0.750 0.768
Y: 0.750 0.250 0.500
Y: 0.982 0.750 0.232
Rh: 0.137 0.714 0.851
Rh: 0.363 0.214 0.576
Rh: 0.637 0.786 0.424
Rh: 0.863 0.286 0.149

Largest 10 diffraction maxima, low angle first, 5° ≤ 2θ ≤ 70°:
d [Å], 2θ/deg, intensity
3.965, 22.42, 92
3.151, 28.32, 28
3.062, 29.16, 45
2.582, 34.74, 87
2.457, 36.58, 27
2.441, 36.81, 27
2.388, 37.67, 100
2.298, 39.21, 38
1.876, 48.52, 28
1.426, 65.44, 38